The following is a calculated powder diffractogram of SrIO. It was derived from the PBE geometry in the Materials Project, using Cu Kα X-rays.

Cell and atoms:
Cell lengths 7.7115, 4.1509, 10.9493 Å; angles 90.00, 90.00, 90.00 degrees
Atoms (fractional coordinates):
1 Sr 0.1887 0.2500 0.0837
2 Sr 0.3113 0.7500 0.5837
3 Sr 0.6887 0.2500 0.4163
4 Sr 0.8113 0.7500 0.9163
5 I 0.0419 0.7500 0.3266
6 I 0.4581 0.2500 0.8266
7 I 0.5419 0.7500 0.1734
8 I 0.9581 0.2500 0.6734
9 O 0.1107 0.7500 0.9778
10 O 0.3893 0.2500 0.4778
11 O 0.6107 0.7500 0.5222
12 O 0.8893 0.2500 0.0222

Largest 6 diffraction maxima, in order of rising 2θ, 10° ≤ 2θ ≤ 90°:
d_spacing  I/Imax
3.637  32
3.467  44
3.299  61
3.152  25
3.040  97
2.737  100

The following is a calculated powder diffractogram of TcP4H36C12Br2. It was derived from the PBE geometry in the Materials Project, using Cu Kα X-rays.

Cell and atoms:
Cell lengths 9.5999, 9.5999, 9.5999 Å; angles 117.71, 117.71, 94.01 degrees
Atoms (fractional coordinates):
1 Tc 0.0000 0.0000 0.0000
2 P 0.1437 0.1437 0.3436
3 P 0.1998 0.8563 0.0000
4 P 0.8002 0.8002 0.6564
5 P 0.8563 0.1998 0.0000
6 H 0.0083 0.4534 0.3317
7 H 0.0595 0.5624 0.8736
8 H 0.0921 0.2512 0.5929
9 H 0.1005 0.4629 0.2109
10 H 0.1104 0.8995 0.3624
11 H 0.1217 0.6766 0.6683
12 H 0.1859 0.6889 0.1264
13 H 0.2512 0.0921 0.5929
14 H 0.2520 0.8896 0.7891
15 H 0.2845 0.6228 0.0000
16 H 0.3111 0.4376 0.4970
17 H 0.3234 0.9918 0.4452
18 H 0.3417 0.7488 0.8410
19 H 0.3772 0.3772 0.6617
20 H 0.4376 0.3111 0.4970
21 H 0.4534 0.0082 0.3317
22 H 0.4629 0.1005 0.2109
23 H 0.4992 0.6583 0.4071
24 H 0.5008 0.9079 0.1590
25 H 0.5371 0.7480 0.6376
26 H 0.5466 0.8783 0.5548
27 H 0.5624 0.0595 0.8736
28 H 0.6228 0.2845 0.0000
29 H 0.6583 0.4992 0.4071
30 H 0.6766 0.1217 0.6683
31 H 0.6889 0.1859 0.1264
32 H 0.7155 0.7155 0.3383
33 H 0.7480 0.5371 0.6376
34 H 0.7488 0.3417 0.8410
35 H 0.8141 0.9405 0.5030
36 H 0.8783 0.5466 0.5548
37 H 0.8896 0.2520 0.7891
38 H 0.8995 0.1104 0.3624
39 H 0.9079 0.5008 0.1590
40 H 0.9405 0.8141 0.5030
41 H 0.9918 0.3234 0.4452
42 C 0.0195 0.2147 0.4453
43 C 0.1807 0.6641 0.0000
44 C 0.2147 0.0195 0.4453
45 C 0.2306 0.7853 0.8049
46 C 0.3359 0.3359 0.5166
47 C 0.4258 0.9805 0.1951
48 C 0.5742 0.7694 0.5547
49 C 0.6641 0.1807 0.0000
50 C 0.7694 0.5742 0.5547
51 C 0.7853 0.2306 0.8049
52 C 0.8193 0.8193 0.4834
53 C 0.9805 0.4258 0.1951
54 Br 0.1990 0.1990 0.0000
55 Br 0.8010 0.8010 0.0000

Largest 6 diffraction maxima, in order of rising 2θ, 10° ≤ 2θ ≤ 90°:
d_spacing  I/Imax
7.912  100
7.022  46
3.511  19
3.140  15
2.695  15
2.256  13

The following is a calculated powder diffractogram of Ba2SiTe4. It was derived from the PBE geometry in the Materials Project, using Cu Kα X-rays.

Cell and atoms:
Cell lengths 7.6529, 7.6862, 9.7372 Å; angles 90.00, 108.54, 90.00 degrees
Atoms (fractional coordinates):
1 Ba 0.2237 0.2500 0.0518
2 Ba 0.2707 0.2500 0.5711
3 Ba 0.7293 0.7500 0.4289
4 Ba 0.7763 0.7500 0.9482
5 Si 0.2109 0.7500 0.7944
6 Si 0.7891 0.2500 0.2056
7 Te 0.0055 0.5066 0.2669
8 Te 0.0055 0.9934 0.2669
9 Te 0.3755 0.7500 0.0647
10 Te 0.4049 0.7500 0.6258
11 Te 0.5951 0.2500 0.3742
12 Te 0.6245 0.2500 0.9353
13 Te 0.9945 0.0066 0.7331
14 Te 0.9945 0.4934 0.7331

Largest 6 diffraction maxima, in order of rising 2θ, 10° ≤ 2θ ≤ 90°:
d_spacing  I/Imax
3.431  100
3.396  48
3.133  47
2.953  86
2.638  31
1.676  35

The following is a calculated powder diffractogram of UMn3. It was derived from the PBE geometry in the Materials Project, using Cu Kα X-rays.

Cell and atoms:
Cell lengths 3.7994, 3.7994, 7.5259 Å; angles 90.00, 90.00, 90.00 degrees
Atoms (fractional coordinates):
1 U 0.0000 0.0000 0.0000
2 U 0.5000 0.5000 0.5000
3 Mn 0.0000 0.0000 0.5000
4 Mn 0.0000 0.5000 0.2500
5 Mn 0.0000 0.5000 0.7500
6 Mn 0.5000 0.0000 0.2500
7 Mn 0.5000 0.0000 0.7500
8 Mn 0.5000 0.5000 0.0000

Largest 6 diffraction maxima, in order of rising 2θ, 10° ≤ 2θ ≤ 90°:
d_spacing  I/Imax
3.763  19
3.392  60
2.187  100
1.900  32
1.337  20
1.145  25

> Which formula does entry 1 have?

SrIO